# 1
This entry pairs a crystal structure of Dy4CoSn8 with its calculated X-ray diffraction stick pattern. Radiation: Cu Ka. Structure: DFT lattice parameters and positions (PBE).
Kinematic intensities with the Lorentz-polarization factor, no thermal factor.

Cell and atoms:
```
data_Dy4CoSn8
_chemical_formula_sum 'Dy4 Co1 Sn8'
_cell_length_a 4.3783
_cell_length_b 4.4495
_cell_length_c 16.7421
_cell_angle_alpha 90.00
_cell_angle_beta 90.00
_cell_angle_gamma 90.00
_space_group_name_H-M_alt 'P m m 2'
_space_group_IT_number 25
loop_
_space_group_symop_operation_xyz
'x,y,z'
'-x,-y,z'
'-x,y,z'
'x,-y,z'
loop_
_atom_site_label
_atom_site_type_symbol
_atom_site_fract_x
_atom_site_fract_y
_atom_site_fract_z
Dy1 Dy 0.0000 0.0000 0.0000
Dy2 Dy 0.0000 0.5000 0.4961
Dy3 Dy 0.5000 0.0000 0.1985
Dy4 Dy 0.5000 0.5000 0.7016
Co1 Co 0.5000 0.0000 0.4069
Sn1 Sn 0.0000 0.0000 0.3377
Sn2 Sn 0.0000 0.0000 0.6719
Sn3 Sn 0.0000 0.5000 0.1625
Sn4 Sn 0.0000 0.5000 0.8539
Sn5 Sn 0.5000 0.0000 0.5533
Sn6 Sn 0.5000 0.0000 0.8463
Sn7 Sn 0.5000 0.5000 0.0380
Sn8 Sn 0.5000 0.5000 0.3373
```

Peak list (8 most intense, 10° ≤ 2θ ≤ 90°, in order of rising 2θ)
2θ (°), I_rel, h k l
32.1, 18, 0 0 6
32.9, 100, 1 1 3
40.5, 18, 0 2 0
41.2, 17, 2 0 0
52.6, 9, 0 2 6
59.2, 12, 2 2 0
68.9, 21, 1 3 3
69.9, 12, 3 1 3

***

# 2
This entry pairs a crystal structure of ScPIr with its calculated X-ray diffraction stick pattern. Radiation: Cu Ka. Structure: DFT lattice parameters and positions (PBE).
Kinematic intensities with the Lorentz-polarization factor, no thermal factor.

Cell and atoms:
```
data_ScPIr
_chemical_formula_sum 'Sc3 P3 Ir3'
_cell_length_a 6.3635
_cell_length_b 6.3635
_cell_length_c 3.9513
_cell_angle_alpha 90.00
_cell_angle_beta 90.00
_cell_angle_gamma 120.00
_space_group_name_H-M_alt 'P -6 2 m'
_space_group_IT_number 189
_space_group_name_Hall 'P -6 -2'
loop_
_atom_site_label
_atom_site_type_symbol
_atom_site_fract_x
_atom_site_fract_y
_atom_site_fract_z
Sc1 Sc 0.0000 0.4191 0.0000
P1 P 0.0000 0.0000 0.0000
P2 P 0.3333 0.6667 0.5000
Ir1 Ir 0.0000 0.7502 0.5000
```

Peak list (8 most intense, 10° ≤ 2θ ≤ 90°, in order of rising 2θ)
2θ (°), I_rel, h k l
16.1, 39, 1 0 0
22.5, 53, 0 0 1
28.0, 48, 1 1 0
36.2, 100, 1 1 1
39.9, 40, 2 0 1
43.4, 64, 2 1 0
49.5, 59, 2 1 1
65.1, 39, 2 1 2

***

# 3
This entry pairs a crystal structure of Rb3Bi2Br9 with its calculated X-ray diffraction stick pattern. Radiation: Cu Ka. Structure: DFT lattice parameters and positions (PBE).
Kinematic intensities with the Lorentz-polarization factor, no thermal factor.

Cell and atoms:
```
data_Rb3Bi2Br9
_chemical_formula_sum 'Rb12 Bi8 Br36'
_cell_length_a 19.7790
_cell_length_b 8.1591
_cell_length_c 13.9566
_cell_angle_alpha 90.00
_cell_angle_beta 90.56
_cell_angle_gamma 90.00
_space_group_name_H-M_alt 'P 1 21/c 1'
_space_group_IT_number 14
loop_
_space_group_symop_operation_xyz
'x,y,z'
'-x,-y,-z'
'-x,y+1/2,-z+1/2'
'x,-y+1/2,z+1/2'
loop_
_atom_site_label
_atom_site_type_symbol
_atom_site_fract_x
_atom_site_fract_y
_atom_site_fract_z
Rb1 Rb 0.0726 0.0590 0.3194
Rb2 Rb 0.2551 0.5413 0.4881
Rb3 Rb 0.4206 0.0515 0.6555
Bi1 Bi 0.1582 0.5088 0.1595
Bi2 Bi 0.3409 0.0014 0.3264
Br1 Br 0.0583 0.1962 0.5874
Br2 Br 0.0894 0.7075 0.6126
Br3 Br 0.1025 0.9997 0.8407
Br4 Br 0.2200 0.5176 0.9603
Br5 Br 0.2467 0.2032 0.1979
Br6 Br 0.2830 0.6947 0.2296
Br7 Br 0.3939 0.2219 0.9142
Br8 Br 0.4160 0.7056 0.9447
Br9 Br 0.4371 0.0050 0.1849
```

Peak list (8 most intense, 10° ≤ 2θ ≤ 90°, in order of rising 2θ)
2θ (°), I_rel, h k l
12.6, 20, 0 1 1
15.5, 68, 2 0 -2
22.0, 38, 0 1 3
26.8, 17, 2 2 -2
31.2, 100, 4 0 -4
38.7, 17, 8 1 1
44.7, 19, 8 2 -2
44.9, 17, 0 2 6

***

# 4
This entry pairs a crystal structure of Sr2EuSbO6 with its calculated X-ray diffraction stick pattern. Radiation: Cu Ka. Structure: DFT lattice parameters and positions (PBE).
Kinematic intensities with the Lorentz-polarization factor, no thermal factor.

Cell and atoms:
```
data_Sr2EuSbO6
_chemical_formula_sum 'Sr8 Eu4 Sb4 O24'
_cell_length_a 8.4507
_cell_length_b 8.4507
_cell_length_c 8.4507
_cell_angle_alpha 90.00
_cell_angle_beta 90.00
_cell_angle_gamma 90.00
_space_group_name_H-M_alt 'P n -3'
_space_group_IT_number 201
loop_
_space_group_symop_operation_xyz
'x,y,z'
'-x,-y,-z'
'-x+1/2,-y+1/2,z'
'x+1/2,y+1/2,-z'
'x,-y+1/2,-z+1/2'
'-x,y+1/2,z+1/2'
'-x+1/2,y,-z+1/2'
'x+1/2,-y,z+1/2'
'z,x,y'
'-z,-x,-y'
'z,-x+1/2,-y+1/2'
'-z,x+1/2,y+1/2'
'-z+1/2,x,-y+1/2'
'z+1/2,-x,y+1/2'
'-z+1/2,-x+1/2,y'
'z+1/2,x+1/2,-y'
'y,z,x'
'-y,-z,-x'
'-y+1/2,z,-x+1/2'
'y+1/2,-z,x+1/2'
'-y+1/2,-z+1/2,x'
'y+1/2,z+1/2,-x'
'y,-z+1/2,-x+1/2'
'-y,z+1/2,x+1/2'
loop_
_atom_site_label
_atom_site_type_symbol
_atom_site_fract_x
_atom_site_fract_y
_atom_site_fract_z
Sr1 Sr 0.2500 0.2500 0.2500
Sr2 Sr 0.2500 0.2500 0.7500
Eu1 Eu 0.0000 0.0000 0.0000
Sb1 Sb 0.0000 0.0000 0.5000
O1 O 0.0326 0.5391 0.7670
```

Peak list (8 most intense, 10° ≤ 2θ ≤ 90°, in order of rising 2θ)
2θ (°), I_rel, h k l
21.0, 11, 2 0 0
29.9, 100, 2 2 0
42.8, 29, 4 0 0
53.1, 44, 4 2 2
62.1, 17, 4 4 0
70.5, 18, 6 2 0
78.4, 5, 4 4 4
86.1, 23, 6 2 4

***

# 5
This entry pairs a crystal structure of Ac3Np with its calculated X-ray diffraction stick pattern. Radiation: Cu Ka. Structure: DFT lattice parameters and positions (PBE).
Kinematic intensities with the Lorentz-polarization factor, no thermal factor.

Cell and atoms:
```
data_Ac3Np
_chemical_formula_sum 'Ac6 Np2'
_cell_length_a 7.7822
_cell_length_b 7.7822
_cell_length_c 6.1741
_cell_angle_alpha 90.00
_cell_angle_beta 90.00
_cell_angle_gamma 120.00
_space_group_name_H-M_alt 'P 63/m m c'
_space_group_IT_number 194
_space_group_name_Hall '-P 6c 2c'
loop_
_atom_site_label
_atom_site_type_symbol
_atom_site_fract_x
_atom_site_fract_y
_atom_site_fract_z
Ac1 Ac 0.1708 0.3416 0.2500
Np1 Np 0.3333 0.6667 0.7500
```

Peak list (8 most intense, 10° ≤ 2θ ≤ 90°, in order of rising 2θ)
2θ (°), I_rel, h k l
26.4, 23, 2 0 0
28.9, 25, 0 0 2
30.2, 100, 2 0 1
39.6, 16, 2 0 2
46.7, 21, 2 2 0
52.1, 23, 2 0 3
55.9, 24, 2 2 2
56.6, 18, 4 0 1

***

# 6
This entry pairs a crystal structure of MgInWS4 with its calculated X-ray diffraction stick pattern. Radiation: Cu Ka. Structure: DFT lattice parameters and positions (PBE).
Kinematic intensities with the Lorentz-polarization factor, no thermal factor.

Cell and atoms:
```
data_MgInWS4
_chemical_formula_sum 'Mg4 In4 W4 S16'
_cell_length_a 7.5463
_cell_length_b 7.5681
_cell_length_c 10.7216
_cell_angle_alpha 90.00
_cell_angle_beta 90.00
_cell_angle_gamma 90.00
_space_group_name_H-M_alt 'I m m a'
_space_group_IT_number 74
_space_group_name_Hall '-I 2b 2'
loop_
_atom_site_label
_atom_site_type_symbol
_atom_site_fract_x
_atom_site_fract_y
_atom_site_fract_z
Mg1 Mg 0.0000 0.2500 0.1262
In1 In 0.2500 0.2500 0.7500
W1 W 0.0000 0.0000 0.5000
S1 S 0.0000 0.0070 0.7323
S2 S 0.2197 0.2500 0.5027
```

Peak list (8 most intense, 10° ≤ 2θ ≤ 90°, in order of rising 2θ)
2θ (°), I_rel, h k l
14.3, 100, 1 0 1
27.6, 80, 1 2 1
28.9, 24, 2 0 2
33.4, 24, 0 0 4
33.5, 47, 2 2 0
44.0, 25, 3 2 1
48.1, 52, 0 4 0
50.4, 16, 1 2 5